Rb2NiH8C2O10: theoretical powder diffraction line list (Cu Kα), based on a structure optimized by DFT (PBE+U).

Most intense lines, 15 to 90 degrees two-theta, sorted by position:
18.63 deg, intensity 34
21.05 deg, intensity 24
25.18 deg, intensity 25
27.65 deg, intensity 44
28.82 deg, intensity 100
34.99 deg, intensity 46
37.76 deg, intensity 23
42.84 deg, intensity 26

Crystal structure
Unit cell a=7.1664 b=6.4377 c=12.4106 alpha=90.00 beta=115.74 gamma=90.00
Space group P2_1/c (No. 14)
Asymmetric unit:
Rb1 0.2467 0.1550 0.3245 x4
Ni1 0.0000 0.0000 0.0000 x2
H1 0.1983 0.6603 0.3723 x4
H2 0.1996 0.7027 0.9858 x4
H3 0.2856 0.1746 0.5851 x4
H4 0.4219 0.1195 0.1175 x4
C1 0.2497 0.6615 0.1825 x4
O1 0.1106 0.7097 0.4127 x4
O2 0.1198 0.6848 0.6523 x4
O3 0.2821 0.1748 0.0629 x4
O4 0.3114 0.5823 0.1064 x4
O5 0.3190 0.5849 0.2900 x4